Entry 1:
Computed PXRD pattern
Compound: K2TcCl5O
Radiation: Cu Kα
Structure: the PBE geometry in the Materials Project
Peak positions follow from Bragg's law for the DFT cell and can differ from measured ones.

Peak list (10 most intense, 5° ≤ 2θ ≤ 70°, sorted by position)
15.35°, I 96
15.69°, I 100
18.20°, I 28
25.28°, I 29
29.24°, I 38
31.68°, I 66
32.33°, I 56
35.21°, I 64
36.90°, I 36
48.54°, I 31

Atomic structure:
```
K2TcCl5O
1.0
13.5705 0.0000 0.0000
0.0000 10.1952 0.0000
0.0000 0.0000 7.0052
K Tc Cl O
8 4 20 4
Cartesian
1.9528 0.0061 1.1536
1.9528 5.0914 1.1536
4.8325 5.1037 4.6562
4.8325 10.1890 4.6562
8.7381 0.0061 2.3490
8.7381 5.0914 2.3490
11.6177 5.1037 5.8516
11.6177 10.1890 5.8516
1.2926 7.6464 4.6846
5.4927 2.5488 1.1821
8.0779 7.6464 5.8231
12.2779 2.5488 2.3205
0.0468 7.6464 6.7364
1.4494 5.2597 4.8120
1.4494 10.0331 4.8120
2.9759 7.6464 2.9763
3.3334 7.6464 6.2420
3.4519 2.5488 2.7394
3.8093 2.5488 6.4789
5.3359 0.1621 1.3094
5.3359 4.9355 1.3094
6.7385 2.5488 3.2338
6.8320 7.6464 3.7714
8.2346 5.2597 5.6958
8.2346 10.0331 5.6958
9.7612 7.6464 0.5263
10.1186 7.6464 4.2658
10.2372 2.5488 0.7632
10.5946 2.5488 4.0289
12.1211 0.1621 2.1932
12.1211 4.9355 2.1932
13.5237 2.5488 0.2688
0.0089 2.5488 3.3600
6.7764 7.6464 6.8626
6.7941 2.5488 0.1426
13.5616 7.6464 3.6452
```

***

Entry 2:
Computed PXRD pattern
Compound: Na3CaZrP3O12
Radiation: Cu Kα
Structure: the PBE geometry in the Materials Project
Peak positions follow from Bragg's law for the DFT cell and can differ from measured ones.

Peak list (10 most intense, 5° ≤ 2θ ≤ 70°, sorted by position)
13.57°, I 74
19.11°, I 51
19.36°, I 79
22.54°, I 68
27.34°, I 42
30.77°, I 100
30.89°, I 44
33.41°, I 92
46.03°, I 36
52.10°, I 35

Atomic structure:
```
Na3CaZrP3O12
1.0
7.9163 -4.6494 0.0000
7.9163 4.6494 0.0000
-5.1548 0.0000 7.5492
Na Ca Zr P O
6 2 2 6 24
Cartesian
5.3389 4.1023 3.7746
6.5096 2.0737 0.3489
9.1768 1.0066 2.2880
3.9322 -2.0737 4.1236
6.5994 -1.0066 6.0626
7.9163 -4.1023 0.0000
4.4254 2.3147 6.9532
7.0028 -2.3147 3.1786
3.4003 2.2446 1.6696
0.8229 -2.2446 5.4442
-1.3828 0.4765 6.3103
1.1946 -0.4765 2.5357
5.8123 1.0794 3.8657
8.3896 -1.0794 0.0911
12.5074 0.7954 0.9031
9.9301 -0.7954 4.6777
2.5454 3.3791 6.0306
-0.0636 0.2923 2.8704
-0.8429 1.2940 7.5303
-2.6410 -0.2923 6.6450
2.3372 0.5561 2.1373
5.3337 1.7501 2.5173
8.8132 3.1967 1.3853
-0.2401 -0.5561 5.9120
4.9646 1.6420 4.9769
1.7345 -1.2940 3.7556
7.3094 1.5660 4.1074
8.3057 0.4473 0.0299
5.7283 -0.4473 3.8045
11.0654 1.2175 0.6857
2.7564 -1.7501 6.2919
8.2350 1.2795 7.2019
7.5420 -1.6420 1.2023
10.0237 0.7854 4.6274
5.1228 -3.3791 2.2560
9.8867 -1.5660 0.3328
8.4880 -1.2175 4.4603
12.6011 -0.7854 0.8528
6.2359 -3.1967 5.1599
10.8124 -1.2795 3.4273
```

***

Entry 3:
Computed PXRD pattern
Compound: PrNiAs
Radiation: Cu Kα
Structure: the PBE geometry in the Materials Project
Peak positions follow from Bragg's law for the DFT cell and can differ from measured ones.

Peak list (10 most intense, 5° ≤ 2θ ≤ 70°, sorted by position)
24.71°, I 12
33.17°, I 100
43.50°, I 42
44.40°, I 13
50.67°, I 2
51.47°, I 3
55.78°, I 22
63.91°, I 26
68.95°, I 1
69.62°, I 1

Atomic structure:
```
PrNiAs
1.0
4.1607 0.0000 0.0000
-2.0803 3.6033 0.0000
0.0000 0.0000 4.0803
Pr Ni As
1 1 1
Cartesian
0.0000 0.0000 0.0000
2.0803 1.2011 2.0401
0.0000 2.4022 2.0401
```

***

Entry 4:
Computed PXRD pattern
Compound: BaSmC2O6F
Radiation: Cu Kα
Structure: the PBE geometry in the Materials Project
Peak positions follow from Bragg's law for the DFT cell and can differ from measured ones.

Peak list (10 most intense, 5° ≤ 2θ ≤ 70°, sorted by position)
22.26°, I 95
27.52°, I 100
35.42°, I 52
42.24°, I 39
42.90°, I 36
45.43°, I 22
45.64°, I 46
56.27°, I 22
58.89°, I 18
68.75°, I 16

Atomic structure:
```
BaSmC2O6F
1.0
2.5343 1.4632 12.8177
-2.5343 1.4632 12.8177
0.0000 -2.9263 12.8177
Ba Sm C O F
2 2 4 12 2
Cartesian
0.0000 0.0000 0.0000
0.0000 0.0000 19.2266
0.0000 0.0000 9.4248
0.0000 0.0000 29.0284
0.0000 0.0000 4.0968
0.0000 0.0000 14.4076
0.0000 0.0000 24.0456
0.0000 0.0000 34.3564
-1.1228 -0.6482 14.3727
-1.4145 -0.8167 21.5717
0.0000 -1.6334 16.8815
-1.4145 0.8167 16.8815
0.0000 -1.2965 24.0805
-1.1228 0.6482 24.0805
1.1228 -0.6482 14.3727
0.0000 1.2965 14.3727
1.4145 -0.8167 21.5717
0.0000 1.6334 21.5717
1.4145 0.8167 16.8815
1.1228 0.6482 24.0805
0.0000 0.0000 7.1481
0.0000 0.0000 31.3051
```

***

Entry 5:
Computed PXRD pattern
Compound: MgTi3O7
Radiation: Cu Kα
Structure: the PBE geometry in the Materials Project
Peak positions follow from Bragg's law for the DFT cell and can differ from measured ones.

Peak list (10 most intense, 5° ≤ 2θ ≤ 70°, sorted by position)
17.48°, I 100
25.49°, I 33
29.58°, I 90
30.58°, I 56
32.93°, I 17
35.41°, I 25
48.43°, I 18
51.88°, I 29
57.31°, I 29
59.99°, I 18

Atomic structure:
```
MgTi3O7
1.0
10.1453 0.0000 0.0000
0.0000 10.4019 0.0000
0.0000 0.0000 5.4393
Mg Ti O
4 12 28
Cartesian
0.6167 2.6005 0.6900
4.4559 7.8015 3.4097
5.6894 2.6005 2.0296
9.5286 7.8015 4.7492
1.9009 5.5193 3.8661
1.9009 10.0836 3.8661
2.2380 7.8015 1.0856
2.8347 2.6005 3.8052
3.1718 0.3184 1.1464
3.1718 4.8826 1.1464
6.9735 5.5193 4.2928
6.9735 10.0836 4.2928
7.3106 7.8015 1.6340
7.9073 2.6005 4.3537
8.2444 0.3184 1.5732
8.2444 4.8826 1.5732
0.3562 6.2162 3.9342
0.3562 9.3868 3.9342
0.5431 7.8015 0.9791
2.1621 1.2645 5.1665
2.1621 3.9365 5.1665
2.2237 1.2144 2.5721
2.2237 3.9866 2.5721
2.8489 6.4154 5.2917
2.8489 9.1875 5.2917
2.9105 6.4655 2.4468
2.9105 9.1374 2.4468
4.5296 2.6005 3.6987
4.7165 1.0152 1.2145
4.7165 4.1858 1.2145
5.4288 6.2162 4.2247
5.4288 9.3868 4.2247
5.6157 7.8015 1.7406
7.2348 1.2645 2.9924
7.2348 3.9365 2.9924
7.2964 1.2144 0.1475
7.2964 3.9866 0.1475
7.9216 6.4154 2.8671
7.9216 9.1875 2.8671
7.9832 6.4655 0.2728
7.9832 9.1374 0.2728
9.6022 2.6005 4.4602
9.7891 1.0152 1.5051
9.7891 4.1858 1.5051
```

***

Entry 6:
Computed PXRD pattern
Compound: Rb2TlCl5O
Radiation: Cu Kα
Structure: the PBE geometry in the Materials Project
Peak positions follow from Bragg's law for the DFT cell and can differ from measured ones.

Peak list (10 most intense, 5° ≤ 2θ ≤ 70°, sorted by position)
14.04°, I 87
15.48°, I 98
22.52°, I 31
24.18°, I 100
26.09°, I 27
27.44°, I 40
34.20°, I 45
34.73°, I 44
40.55°, I 25
49.53°, I 30

Atomic structure:
```
Rb2TlCl5O
1.0
13.6604 0.0000 0.0000
0.0000 10.4888 0.0000
0.0000 0.0000 7.8974
Rb Tl Cl O
8 4 20 4
Cartesian
1.8875 0.1355 1.4498
1.8875 5.1089 1.4498
4.9427 5.3799 5.3985
4.9427 10.3533 5.3985
8.7177 0.1355 2.4989
8.7177 5.1089 2.4989
11.7729 5.3799 6.4476
11.7729 10.3533 6.4476
1.5038 2.6222 5.7962
5.3264 7.8666 1.8475
8.3340 2.6222 6.0499
12.1566 7.8666 2.1012
0.1812 7.8666 0.1780
1.3933 0.0872 5.4779
1.3933 5.1572 5.4779
2.9654 2.6222 3.3363
3.2115 7.8666 3.2470
3.6187 2.6222 7.1957
3.8648 7.8666 7.2849
5.4370 5.3316 1.5292
5.4370 10.4016 1.5292
6.6490 2.6222 4.1267
7.0114 7.8666 3.7707
8.2235 0.0872 6.3682
8.2235 5.1572 6.3682
9.7956 2.6222 0.6124
10.0417 7.8666 0.7017
10.4489 2.6222 4.6503
10.6950 7.8666 4.5611
12.2672 5.3316 2.4195
12.2672 10.4016 2.4195
13.4792 2.6222 7.7194
0.5955 2.6222 3.6671
6.2347 7.8666 7.6158
7.4257 2.6222 0.2816
13.0649 7.8666 4.2303
```

***

Entry 7:
Computed PXRD pattern
Compound: CsEuPO4
Radiation: Cu Kα
Structure: the PBE geometry in the Materials Project
Peak positions follow from Bragg's law for the DFT cell and can differ from measured ones.

Peak list (10 most intense, 5° ≤ 2θ ≤ 70°, sorted by position)
25.85°, I 100
27.40°, I 34
28.39°, I 25
28.77°, I 62
30.38°, I 49
31.14°, I 54
35.17°, I 22
42.68°, I 34
49.60°, I 21
52.25°, I 40

Atomic structure:
```
CsEuPO4
1.0
7.9021 0.0000 0.0000
0.0000 5.7438 0.0000
0.0000 0.0000 10.2780
Cs Eu P O
4 4 4 16
Cartesian
1.0700 1.4360 0.8937
2.8811 4.3079 6.0327
5.0210 1.4360 4.2453
6.8322 4.3079 9.3843
0.0391 1.4360 7.0022
3.9120 4.3079 1.8632
3.9902 1.4360 8.4148
7.8630 4.3079 3.2758
1.6475 1.4360 4.2896
2.3035 4.3079 9.4286
5.5986 1.4360 0.8494
6.2546 4.3079 5.9884
0.0931 1.4360 4.4128
1.7285 4.3079 0.6121
1.8486 3.0173 8.6668
1.8486 5.5984 8.6668
2.1024 0.1454 3.5279
2.1024 2.7265 3.5279
2.2226 1.4360 5.7511
3.8580 4.3079 9.5518
4.0442 1.4360 0.7262
5.6795 4.3079 4.5269
5.7997 3.0173 6.7501
5.7997 5.5984 6.7501
6.0535 0.1454 1.6111
6.0535 2.7265 1.6111
6.1737 1.4360 9.6659
7.8090 4.3079 5.8652
```

***

Entry 8:
Computed PXRD pattern
Compound: Cu10Hg2Sb4S13
Radiation: Cu Kα
Structure: the PBE geometry in the Materials Project
Peak positions follow from Bragg's law for the DFT cell and can differ from measured ones.

Peak list (10 most intense, 5° ≤ 2θ ≤ 70°, sorted by position)
12.05°, I 9
16.19°, I 6
24.24°, I 7
29.29°, I 100
32.72°, I 11
34.55°, I 17
48.32°, I 35
49.66°, I 15
56.31°, I 15
58.70°, I 20

Atomic structure:
```
Cu10Hg2Sb4S13
1.0
-5.1924 5.1924 5.4735
5.1924 -5.1924 5.4735
5.1924 5.1924 -5.4735
Cu Hg Sb S
10 2 4 13
Cartesian
2.3425 0.0000 0.0000
8.0423 0.0000 0.0000
0.0000 2.3425 0.0000
5.1924 2.4545 0.0000
5.1924 0.0000 2.7367
2.4545 5.1924 0.0000
2.7379 0.0000 5.4735
0.0000 5.1924 2.7367
0.0000 2.7379 5.4735
0.0000 8.0423 0.0000
0.0000 0.0000 2.5855
0.0000 0.0000 8.3614
2.3514 -2.3514 2.6509
-2.3514 2.3514 2.6509
2.8410 2.8410 2.8225
2.3514 2.3514 8.2960
0.0000 0.0000 0.0000
6.6037 -1.1387 1.3005
3.7811 1.1387 1.3005
4.0537 -1.4113 4.1730
3.8233 3.8233 -1.2509
1.3691 -1.3691 6.7243
1.1387 3.7811 1.3005
6.3311 1.4113 4.1730
1.3691 1.3691 4.2226
-1.3691 1.3691 6.7243
-1.1387 6.6037 1.3005
-1.4113 4.0537 4.1730
1.4113 6.3311 4.1730
```